Record 1
For Mg2Cd, a PBE-relaxed structure gives the computed XRD peak list in this record (Cu Kα, 1.54184 Å).
Lines closer than 0.1° are merged.

Atomic structure:
abc: 3.227 16.180 5.153
angles: 90.00 90.00 90.00
Space group Cmcm (No. 63)
Unique sites:
Mg 0.000 0.056 0.250 x4
Mg 0.000 0.387 0.250 x4
Cd 0.000 0.279 0.750 x4

Top 8 peaks for 10° ≤ 2θ ≤ 90°, sorted by position:
| h k l | d [Å] | intensity |
| --- | --- | --- |
| 0 2 0 | 8.090 | 100 |
| 0 4 0 | 4.045 | 13 |
| 1 3 0 | 2.769 | 18 |
| 1 1 1 | 2.697 | 39 |
| 0 0 2 | 2.577 | 27 |
| 1 3 1 | 2.439 | 66 |
| 0 6 1 | 2.389 | 34 |
| 0 8 1 | 1.885 | 17 |



Record 2
For TiCr2P3, a PBE-relaxed structure gives the computed XRD peak list in this record (Cu Kα, 1.54184 Å).
Lines closer than 0.1° are merged.

Atomic structure:
abc: 5.523 3.123 18.358
angles: 90.00 90.22 90.00
Space group Pm (No. 6)
Unique sites:
Ti 0.000 0.000 0.000 x1
Ti 0.000 0.000 0.331 x1
Ti 0.004 0.000 0.667 x1
Ti 0.504 0.000 0.628 x1
Cr 0.014 0.500 0.456 x1
Cr 0.016 0.500 0.128 x1
Cr 0.020 0.500 0.800 x1
Cr 0.511 0.000 0.293 x1
Cr 0.512 0.000 0.964 x1
Cr 0.516 0.500 0.497 x1
Cr 0.518 0.500 0.166 x1
Cr 0.518 0.500 0.836 x1
P 0.195 0.500 0.576 x1
P 0.219 0.500 0.250 x1
P 0.222 0.500 0.920 x1
P 0.311 0.000 0.760 x1
P 0.320 0.000 0.089 x1
P 0.323 0.000 0.420 x1
P 0.681 0.500 0.378 x1
P 0.684 0.500 0.047 x1
P 0.701 0.500 0.718 x1
P 0.804 0.000 0.873 x1
P 0.807 0.000 0.204 x1
P 0.816 0.000 0.535 x1

Top 8 peaks for 10° ≤ 2θ ≤ 90°, sorted by position:
| h k l | d [Å] | intensity |
| --- | --- | --- |
| 0 1 3 | 2.782 | 60 |
| 1 1 3 | 2.484 | 42 |
| 2 0 -6 | 2.054 | 26 |
| 2 0 6 | 2.046 | 25 |
| 1 1 -6 | 2.032 | 58 |
| 2 1 3 | 1.960 | 100 |
| 0 1 9 | 1.708 | 25 |
| 0 2 0 | 1.561 | 23 |



Record 3
For Mg3CrN3, a PBE-relaxed structure gives the computed XRD peak list in this record (Cu Kα, 1.54184 Å).
Lines closer than 0.1° are merged.

Atomic structure:
abc: 6.8706 6.8706 4.4130
angles: 90.00 90.00 120.00
Space group P6_3/m (No. 176)
Unique sites:
Mg 0.1720 0.3462 0.2500 x6
Cr 0.3333 0.6667 0.7500 x2
N 0.1823 0.3671 0.7500 x6

Top 8 peaks for 10° ≤ 2θ ≤ 90°, sorted by position:
| h k l | d [Å] | intensity |
| --- | --- | --- |
| 1 0 1 | 3.545 | 64 |
| 2 0 0 | 2.975 | 99 |
| 2 0 1 | 2.467 | 100 |
| 0 0 2 | 2.206 | 53 |
| 2 0 2 | 1.772 | 36 |
| 2 2 0 | 1.718 | 62 |
| 4 0 1 | 1.410 | 19 |
| 2 2 2 | 1.355 | 50 |



Record 4
For Mg6Si5, a PBE-relaxed structure gives the computed XRD peak list in this record (Cu Kα, 1.54184 Å).
Lines closer than 0.1° are merged.

Atomic structure:
abc: 5.357 6.091 13.728
angles: 100.97 94.93 98.42
Space group P1 (No. 1)
Unique sites:
Mg 0.000 0.000 0.000 x1
Mg 0.018 0.533 0.109 x1
Mg 0.041 0.074 0.239 x1
Mg 0.096 0.772 0.626 x1
Mg 0.249 0.608 0.333 x1
Mg 0.490 0.277 0.153 x1
Mg 0.551 0.777 0.084 x1
Mg 0.611 0.329 0.646 x1
Mg 0.676 0.880 0.765 x1
Mg 0.734 0.412 0.416 x1
Mg 0.828 0.443 0.880 x1
Mg 0.890 0.955 0.452 x1
Si 0.076 0.239 0.656 x1
Si 0.171 0.818 0.825 x1
Si 0.227 0.389 0.502 x1
Si 0.318 0.390 0.963 x1
Si 0.337 0.475 0.801 x1
Si 0.402 0.024 0.466 x1
Si 0.506 0.057 0.945 x1
Si 0.541 0.997 0.290 x1
Si 0.555 0.730 0.558 x1
Si 0.752 0.663 0.266 x1

Top 8 peaks for 10° ≤ 2θ ≤ 90°, sorted by position:
| h k l | d [Å] | intensity |
| --- | --- | --- |
| 0 2 -1 | 3.012 | 47 |
| 1 -1 4 | 2.712 | 85 |
| 0 1 4 | 2.683 | 100 |
| 2 0 -2 | 2.553 | 82 |
| 0 2 2 | 2.512 | 85 |
| 1 1 -5 | 2.408 | 72 |
| 1 1 -6 | 2.105 | 84 |
| 2 1 2 | 2.038 | 61 |